(1)
Starting from DFT lattice parameters and positions (PBE), the X-ray diffraction stick pattern of Pr4SmN5 was calculated for Cu Kα, 1.54184 Å.
Neutral-atom scattering factors, no anomalous dispersion.

The 6 most intense peaks (10 to 80 degrees two-theta), in order of rising 2θ:
2θ/deg	Rel. int.	(hkl)
29.79	100	2 1 1
34.23	25	0 0 2
34.68	49	1 3 0
49.53	35	1 3 2
59.17	30	5 0 1
61.87	18	4 2 2

Structure:
```
data_Pr4SmN5
_chemical_formula_sum 'Pr8 Sm2 N10'
_symmetry_space_group_name_H-M 'I 4'
_symmetry_Int_Tables_number 79
_cell_length_a 8.179
_cell_length_b 8.179
_cell_length_c 5.239
_cell_angle_alpha 90.00
_cell_angle_beta 90.00
_cell_angle_gamma 90.00
loop_
_symmetry_equiv_pos_as_xyz
'x,y,z'
'-y,x,z'
'-x,-y,z'
'y,-x,z'
'x+1/2,y+1/2,z+1/2'
'-y+1/2,x+1/2,z+1/2'
'-x+1/2,-y+1/2,z+1/2'
'y+1/2,-x+1/2,z+1/2'
loop_
_atom_site_label
_atom_site_type_symbol
_atom_site_fract_x
_atom_site_fract_y
_atom_site_fract_z
_atom_site_occupancy
Pr1 Pr 0.101 0.299 0.000 1
Sm1 Sm 0.000 0.000 0.497 1
N1 N 0.000 0.000 0.031 1
N2 N 0.099 0.296 0.521 1
```

=====

(2)
Starting from DFT lattice parameters and positions (PBE), the X-ray diffraction stick pattern of PrSm2N2 was calculated for Cu Kα, 1.54184 Å.
Neutral-atom scattering factors, no anomalous dispersion.

The 6 most intense peaks (10 to 80 degrees two-theta), in order of rising 2θ:
2θ/deg	Rel. int.	(hkl)
29.65	99	0 1 3
30.26	100	1 1 0
34.53	86	1 0 3
35.12	43	0 2 0
50.07	59	1 2 3
59.62	43	2 1 3

Structure:
```
data_PrSm2N2
_chemical_formula_sum 'Pr2 Sm4 N4'
_symmetry_space_group_name_H-M 'I m m m'
_symmetry_Int_Tables_number 71
_symmetry_space_group_name_Hall '-I 2 2'
_cell_length_a 3.620
_cell_length_b 5.110
_cell_length_c 11.191
_cell_angle_alpha 90.00
_cell_angle_beta 90.00
_cell_angle_gamma 90.00
loop_
_atom_site_label
_atom_site_type_symbol
_atom_site_fract_x
_atom_site_fract_y
_atom_site_fract_z
_atom_site_occupancy
Pr1 Pr 0.000 0.000 0.000 1
Sm1 Sm 0.000 0.000 0.318 1
N1 N 0.000 0.500 0.325 1
```